[1]
The following is a calculated PXRD pattern of Sr2Ga3AgAu12. It was derived from a GGA-PBE-relaxed structure, using Cu Kα (λ = 1.5418 Å).
Lines closer than 0.1° are merged.

Atomic structure:
Cell lengths 8.7805, 8.7805, 19.8084 Å; angles 90.00, 90.00, 120.00 degrees
Space group R-3m (No. 166, hexagonal axes)
Asymmetric unit:
Sr: 0.0000 0.0000 0.1116 (multiplicity 6)
Ga: 0.0000 0.5000 0.0000 (multiplicity 9)
Ag: 0.0000 0.0000 0.5000 (multiplicity 3)
Au: 0.0073 0.5036 0.8716 (multiplicity 18)
Au: 0.0192 0.5096 0.3643 (multiplicity 18)

Top 10 peaks for 2θ = 5–70°, by angle:
| 2theta | d/Å | intensity |
| --- | --- | --- |
| 20.23 | 4.390 | 168 |
| 21.41 | 4.150 | 183 |
| 29.62 | 3.016 | 1000 |
| 36.13 | 2.486 | 127 |
| 41.12 | 2.195 | 729 |
| 43.62 | 2.075 | 541 |
| 49.89 | 1.828 | 74 |
| 51.49 | 1.775 | 210 |
| 61.50 | 1.508 | 189 |
| 67.92 | 1.380 | 178 |

[2]
The following is a calculated PXRD pattern of Sc4Bi2SbSe. It was derived from a GGA-PBE-relaxed structure, using Cu Kα (λ = 1.5418 Å).
Lines closer than 0.1° are merged.

Atomic structure:
Cell lengths 7.1647, 4.1372, 7.1981 Å; angles 90.00, 109.28, 90.00 degrees
Space group P2/m (No. 10)
Asymmetric unit:
Sc: 0.2390 0.0000 0.2335 (multiplicity 2)
Sc: 0.2478 0.5000 0.7633 (multiplicity 2)
Bi: 0.0000 0.0000 0.5000 (multiplicity 1)
Bi: 0.5000 0.5000 0.5000 (multiplicity 1)
Sb: 0.5000 0.0000 0.0000 (multiplicity 1)
Se: 0.0000 0.5000 0.0000 (multiplicity 1)

Top 10 peaks for 2θ = 5–70°, by angle:
| 2theta | d/Å | intensity |
| --- | --- | --- |
| 13.03 | 6.793 | 134 |
| 25.24 | 3.529 | 121 |
| 26.23 | 3.397 | 145 |
| 26.37 | 3.380 | 423 |
| 30.50 | 2.931 | 1000 |
| 43.59 | 2.076 | 369 |
| 43.77 | 2.068 | 370 |
| 51.74 | 1.767 | 149 |
| 54.28 | 1.690 | 194 |
| 63.48 | 1.465 | 119 |